[1]
For Ho6TlSb3, a cell relaxed with GGA-PBE gives the computed X-ray diffraction stick pattern in this record (Cu Kα, 1.54184 Å).
Intensities are scaled so that the largest is 100.

Cell and atoms:
```
data_Ho6TlSb3
_symmetry_space_group_name_H-M 'C m c m'
_symmetry_Int_Tables_number 63
_symmetry_space_group_name_Hall '-C 2c 2'
_cell_length_a 11.6388
_cell_length_b 11.4335
_cell_length_c 8.4062
_cell_angle_alpha 90.00
_cell_angle_beta 90.00
_cell_angle_gamma 90.00
loop_
_atom_site_label
_atom_site_type_symbol
_atom_site_fract_x
_atom_site_fract_y
_atom_site_fract_z
_atom_site_occupancy
Ho1 Ho 0.0000 0.1587 0.0006 1
Ho2 Ho 0.1595 0.5000 0.0000 1
Ho3 Ho 0.2504 0.2476 0.2500 1
Tl1 Tl 0.0000 0.3532 0.7500 1
Sb1 Sb 0.0000 0.3587 0.2500 1
Sb2 Sb 0.1456 0.0024 0.7500 1
```

The 6 most intense peaks (2θ = 5–70°), in order of falling intensity:
Position (°2θ)	I/Imax	h k l
32.64	100	1 3 2
32.37	98	3 1 2
34.97	49	2 4 0
34.59	45	4 2 0
43.04	32	0 0 4
30.54	28	2 2 2


[2]
For HoTlSb, a cell relaxed with GGA-PBE gives the computed X-ray diffraction stick pattern in this record (Cu Kα, 1.54184 Å).
Intensities are scaled so that the largest is 100.

Cell and atoms:
```
data_HoTlSb
_symmetry_space_group_name_H-M 'C 1 2/m 1'
_symmetry_Int_Tables_number 12
_cell_length_a 8.9487
_cell_length_b 3.5154
_cell_length_c 12.0322
_cell_angle_alpha 90.00
_cell_angle_beta 94.63
_cell_angle_gamma 90.00
loop_
_symmetry_equiv_pos_as_xyz
'x,y,z'
'-x,-y,-z'
'-x,y,-z'
'x,-y,z'
'x+1/2,y+1/2,z'
'-x+1/2,-y+1/2,-z'
'-x+1/2,y+1/2,-z'
'x+1/2,-y+1/2,z'
loop_
_atom_site_label
_atom_site_type_symbol
_atom_site_fract_x
_atom_site_fract_y
_atom_site_fract_z
_atom_site_occupancy
Ho1 Ho 0.1780 0.0000 0.2367 1
Tl1 Tl 0.1272 0.0000 0.9261 1
Sb1 Sb 0.0216 0.5000 0.6228 1
```

The 6 most intense peaks (2θ = 5–70°), in order of falling intensity:
Position (°2θ)	I/Imax	h k l
7.37	100	0 0 1
28.07	95	1 1 -1
31.23	75	2 0 3
39.70	68	3 1 0
34.93	66	1 1 -3
34.68	55	2 0 -4


[3]
For Ho2Tm5Sb4, a cell relaxed with GGA-PBE gives the computed X-ray diffraction stick pattern in this record (Cu Kα, 1.54184 Å).
Intensities are scaled so that the largest is 100.

Cell and atoms:
```
data_Ho2Tm5Sb4
_symmetry_space_group_name_H-M 'C 1 2/m 1'
_symmetry_Int_Tables_number 12
_cell_length_a 25.5849
_cell_length_b 3.6184
_cell_length_c 7.1986
_cell_angle_alpha 90.00
_cell_angle_beta 91.47
_cell_angle_gamma 90.00
loop_
_symmetry_equiv_pos_as_xyz
'x,y,z'
'-x,-y,-z'
'-x,y,-z'
'x,-y,z'
'x+1/2,y+1/2,z'
'-x+1/2,-y+1/2,-z'
'-x+1/2,y+1/2,-z'
'x+1/2,-y+1/2,z'
loop_
_atom_site_label
_atom_site_type_symbol
_atom_site_fract_x
_atom_site_fract_y
_atom_site_fract_z
_atom_site_occupancy
Ho1 Ho 0.2365 0.0000 0.2821 1
Tm1 Tm 0.0000 0.5000 0.5000 1
Tm2 Tm 0.0896 0.0000 0.1976 1
Tm3 Tm 0.1412 0.0000 0.6604 1
Sb1 Sb 0.0328 0.0000 0.8165 1
Sb2 Sb 0.1716 0.5000 0.0016 1
```

The 6 most intense peaks (2θ = 5–70°), in order of falling intensity:
Position (°2θ)	I/Imax	h k l
30.29	100	8 0 -1
32.98	68	6 0 2
29.67	66	3 1 1
35.42	46	1 1 2
36.92	32	7 1 -1
24.85	29	1 1 0


[4]
For Ho4TmSb5, a cell relaxed with GGA-PBE gives the computed X-ray diffraction stick pattern in this record (Cu Kα, 1.54184 Å).
Intensities are scaled so that the largest is 100.

Cell and atoms:
```
data_Ho4TmSb5
_symmetry_space_group_name_H-M 'I m m m'
_symmetry_Int_Tables_number 71
_symmetry_space_group_name_Hall '-I 2 2'
_cell_length_a 4.3608
_cell_length_b 6.1644
_cell_length_c 21.7989
_cell_angle_alpha 90.00
_cell_angle_beta 90.00
_cell_angle_gamma 90.00
loop_
_atom_site_label
_atom_site_type_symbol
_atom_site_fract_x
_atom_site_fract_y
_atom_site_fract_z
_atom_site_occupancy
Ho1 Ho 0.0000 0.0000 0.1000 1
Ho2 Ho 0.0000 0.0000 0.3004 1
Tm1 Tm 0.0000 0.0000 0.5000 1
Sb1 Sb 0.0000 0.5000 0.0992 1
Sb2 Sb 0.0000 0.5000 0.2999 1
Sb3 Sb 0.0000 0.5000 0.5000 1
```

The 6 most intense peaks (2θ = 5–70°), in order of falling intensity:
Position (°2θ)	I/Imax	h k l
28.96	100	1 0 5
41.42	76	2 0 0
68.00	35	3 0 5
51.33	27	2 2 0
60.02	13	2 0 10
25.01	4	1 1 0